Entry 1:
The following is a simulated powder XRD pattern of Li3MnO3. It was derived from a structure optimized by DFT (PBE+U), using a wavelength of 1.5418 Å.
Intensities are scaled so that the largest is 100.

The 10 most intense peaks (10° ≤ 2θ ≤ 90°), in order of rising 2θ:
| (hkl) | d [Å] | 2theta | intensity |
| --- | --- | --- | --- |
| 1 0 0 | 5.396 | 16.4 | 21 |
| 0 2 0 | 4.977 | 17.8 | 100 |
| 0 1 1 | 4.468 | 19.9 | 26 |
| 1 1 -1 | 3.904 | 22.8 | 30 |
| 1 2 0 | 3.659 | 24.3 | 18 |
| 1 1 1 | 3.112 | 28.7 | 99 |
| 1 2 1 | 2.736 | 32.7 | 27 |
| 1 2 -2 | 2.253 | 40.0 | 24 |
| 2 3 -1 | 2.083 | 43.4 | 40 |
| 1 4 -2 | 1.773 | 51.6 | 40 |

Atomic structure:
Cell: 5.5795 9.9546 5.1692 Å, 90.00 104.73 90.00°
Space group P2_1/c (No. 14)
One atom of each set of equivalent atoms:
Li 0.0705 0.2434 0.0673 x4
Li 0.1687 0.0040 0.6338 x4
Li 0.4103 0.7179 0.0598 x4
Mn 0.3211 0.0026 0.1699 x4
O 0.0963 0.6191 0.7634 x4
O 0.2660 0.1352 0.4045 x4
O 0.3942 0.6068 0.3857 x4

***

Entry 2:
The following is a simulated powder XRD pattern of Li4Mn13O24. It was derived from a structure optimized by DFT (PBE+U), using a wavelength of 1.5418 Å.
Intensities are scaled so that the largest is 100.

The 10 most intense peaks (10° ≤ 2θ ≤ 90°), in order of rising 2θ:
| (hkl) | d [Å] | 2theta | intensity |
| --- | --- | --- | --- |
| 1 -1 0 | 4.896 | 18.1 | 100 |
| 0 1 -2 | 4.867 | 18.2 | 91 |
| 1 -1 3 | 2.585 | 34.7 | 33 |
| -1 1 3 | 2.543 | 35.3 | 21 |
| 2 1 -3 | 2.532 | 35.5 | 28 |
| 1 3 -2 | 2.519 | 35.6 | 21 |
| 2 0 2 | 2.157 | 41.9 | 38 |
| 2 0 -4 | 2.100 | 43.1 | 36 |
| 0 4 -2 | 2.086 | 43.4 | 35 |
| 2 -4 4 | 1.502 | 61.8 | 26 |

Atomic structure:
Cell: 6.0302 8.3441 10.2911 Å, 113.57 105.44 90.47°
Space group P1 (No. 1)
One atom of each set of equivalent atoms:
Li 0.0000 0.0000 0.0000 x1
Li 0.1574 0.4201 0.3328 x1
Li 0.4983 0.7563 0.0052 x1
Li 0.6724 0.6695 0.3372 x1
Mn 0.0837 0.7120 0.6699 x1
Mn 0.0896 0.7139 0.1769 x1
Mn 0.2495 0.8739 0.5037 x1
Mn 0.2516 0.3865 0.0101 x1
Mn 0.3367 0.3333 0.6692 x1
Mn 0.4118 0.0385 0.8340 x1
Mn 0.4126 0.0449 0.3280 x1
Mn 0.5692 0.2033 0.1586 x1
Mn 0.5831 0.7111 0.6678 x1
Mn 0.7472 0.3784 0.4933 x1
Mn 0.7563 0.3839 0.0089 x1
Mn 0.9091 0.0438 0.3294 x1
Mn 0.9267 0.5564 0.8460 x1
O 0.0724 0.4809 0.6759 x1
O 0.0801 0.4855 0.1708 x1
O 0.0978 0.9583 0.1915 x1
O 0.1188 0.9455 0.6704 x1
O 0.2411 0.6483 0.5175 x1
O 0.2439 0.6309 0.0265 x1
O 0.2612 0.1037 0.4875 x1
O 0.2778 0.1368 0.9988 x1
O 0.3877 0.8096 0.3386 x1
O 0.3893 0.7957 0.8172 x1
O 0.4175 0.2700 0.3137 x1
O 0.4229 0.2778 0.8453 x1
O 0.5416 0.9402 0.6664 x1
O 0.5640 0.9825 0.1738 x1
O 0.5697 0.4332 0.1467 x1
O 0.6027 0.4751 0.6608 x1
O 0.7061 0.1276 0.9952 x1
O 0.7221 0.1320 0.4667 x1
O 0.7792 0.6246 0.5201 x1
O 0.7941 0.6370 0.0209 x1
O 0.8700 0.2768 0.3170 x1
O 0.9228 0.7742 0.8198 x1
O 0.9386 0.3369 0.8721 x1
O 0.9538 0.8118 0.3432 x1

***

Entry 3:
The following is a simulated powder XRD pattern of Li4Mn3O7. It was derived from a structure optimized by DFT (PBE+U), using a wavelength of 1.5418 Å.
Intensities are scaled so that the largest is 100.

The 10 most intense peaks (10° ≤ 2θ ≤ 90°), in order of rising 2θ:
| (hkl) | d [Å] | 2theta | intensity |
| --- | --- | --- | --- |
| 1 1 1 | 4.857 | 18.3 | 100 |
| 0 1 -2 | 2.634 | 34.0 | 18 |
| 1 -2 0 | 2.488 | 36.1 | 24 |
| 1 0 3 | 2.204 | 41.0 | 35 |
| 0 3 1 | 2.062 | 43.9 | 29 |
| 3 1 0 | 2.049 | 44.2 | 28 |
| 2 1 -3 | 1.509 | 61.5 | 8 |
| 1 -3 2 | 1.506 | 61.6 | 17 |
| 4 1 3 | 1.493 | 62.2 | 8 |
| -3 2 1 | 1.445 | 64.5 | 8 |

Atomic structure:
Cell: 6.5086 6.5415 6.9251 Å, 73.77 71.52 72.19°
Space group P-1 (No. 2)
One atom of each set of equivalent atoms:
Li 0.0000 0.0000 0.0000 x1
Li 0.0647 0.7911 0.6509 x2
Li 0.2023 0.3555 0.9256 x2
Li 0.3546 0.9259 0.2217 x2
Li 0.5000 0.5000 0.5000 x1
Mn 0.1403 0.5794 0.2776 x2
Mn 0.2843 0.1387 0.5799 x2
Mn 0.4214 0.7141 0.8536 x2
O 0.0223 0.8786 0.3325 x2
O 0.1254 0.6746 0.9553 x2
O 0.1736 0.4367 0.6199 x2
O 0.2602 0.2557 0.2788 x2
O 0.3242 0.0289 0.8603 x2
O 0.4013 0.8424 0.5234 x2
O 0.4507 0.5972 0.1859 x2